# NaZn4Sn4
Simulated powder XRD pattern, Cu Kα (weighted mean of Kα1 and Kα2). Input: a DFT-relaxed cell (PBE, Alexandria).

Atomic structure:
```
18
Lattice="8.8791 0.0000 0.0000 0.0000 8.8791 0.0000 0.0000 0.0000 5.9344" Properties=species:S:1:pos:R:3 pbc="T T T"
Na 2.2198 2.2198 1.4836
Na 6.6594 6.6594 4.4508
Zn 0.7421 5.1835 3.7060
Zn 0.7439 8.1370 0.7388
Zn 3.6957 5.1817 0.7388
Zn 3.6975 8.1352 3.7060
Zn 5.1817 0.7439 2.2284
Zn 5.1835 3.6975 5.1956
Zn 8.1352 0.7421 5.1956
Zn 8.1370 3.6957 2.2284
Sn 0.9320 5.3974 0.7695
Sn 0.9579 7.9471 3.7367
Sn 3.4817 5.3716 3.7367
Sn 3.5075 7.9213 0.7695
Sn 5.3716 0.9579 5.1648
Sn 5.3974 3.5075 2.1977
Sn 7.9213 0.9320 2.1977
Sn 7.9471 3.4817 5.1648
```

Most intense lines, 2θ from 15° to 90°, in order of rising 2θ:
| d [Å] | 2θ (°) | I_rel | hkl |
| --- | --- | --- | --- |
| 4.440 | 20.00 | 21.2 | 2 0 0 |
| 2.811 | 31.83 | 100.0 | 1 3 0 |
| 2.220 | 40.64 | 20.3 | 4 0 0 |
| 2.095 | 43.19 | 82.5 | 3 0 2 |
| 1.743 | 52.51 | 14.7 | 1 4 2 |
| 1.524 | 60.79 | 23.7 | 4 3 2 |
| 1.209 | 79.25 | 11.9 | 3 6 2 |
| 1.166 | 82.77 | 13.6 | 7 0 2 |